This entry pairs a crystal structure of MgAg6Mo10O33 with its simulated X-ray diffraction stick pattern. Radiation: Cu Ka. Structure: a crystal structure in the Materials Project, relaxed with PBE+U.
Kinematic intensities with the Lorentz-polarization factor, no thermal factor.

```
50
Lattice="7.737 0.000 0.000 2.143 8.590 0.000 2.168 2.123 11.241" Properties=species:S:1:pos:R:3 pbc="T T T"
Mg 0.000 0.000 0.000
Ag 2.884 4.201 5.472
Ag 6.097 8.066 10.954
Ag 7.028 3.756 10.784
Ag 7.764 2.844 4.781
Ag 10.102 8.031 5.513
Ag 8.356 3.074 0.716
Mo 2.043 1.516 7.977
Mo 4.242 6.466 8.519
Mo 2.561 0.470 2.398
Mo 6.131 8.045 6.158
Mo 5.643 5.685 3.138
Mo 5.905 1.550 7.989
Mo 8.092 6.514 8.396
Mo 8.206 8.832 2.362
Mo 9.975 8.494 10.221
Mo 8.884 5.786 2.691
O 1.834 2.494 6.518
O 2.317 2.681 9.284
O 1.582 1.658 3.221
O 2.109 4.505 1.971
O 4.227 8.536 9.626
O 4.257 8.154 6.911
O 4.430 5.655 10.056
O 3.950 5.205 7.361
O 1.881 0.211 0.759
O 4.574 7.425 3.244
O 6.133 9.715 7.718
O 4.602 4.612 4.048
O 5.994 9.251 4.921
O 6.133 6.841 8.120
O 5.138 5.401 1.481
O 4.251 1.146 2.070
O 5.696 2.825 9.153
O 6.110 6.536 5.239
O 8.103 8.518 9.432
O 6.276 2.384 6.491
O 7.960 8.116 6.795
O 7.830 5.644 9.901
O 7.216 7.082 2.681
O 7.307 4.658 3.267
O 10.061 10.183 11.076
O 8.815 9.303 3.933
O 8.405 5.302 7.207
O 6.897 1.462 1.101
O 10.042 9.734 8.272
O 7.847 5.391 0.461
O 10.041 6.966 8.696
O 9.594 6.047 4.298
O 9.569 7.390 1.815
```

Largest 10 diffraction maxima, low angle first, 10 to 80 degrees two-theta:
- 10.48 deg, intensity 50.2, (0 1 0)
- 23.90 deg, intensity 53.2, (0 2 2)
- 24.11 deg, intensity 28.6, (2 1 0)
- 26.33 deg, intensity 29.6, (2 0 -1)
- 26.99 deg, intensity 81.3, (2 1 -1)
- 28.72 deg, intensity 100.0, (0 2 -2)
- 28.91 deg, intensity 53.9, (2 -1 1)
- 29.97 deg, intensity 67.5, (2 1 3)
- 31.81 deg, intensity 46.4, (0 0 4)
- 34.51 deg, intensity 39.5, (2 3 1)